Starting from a crystal structure in Alexandria, relaxed with GGA-PBE, the powder XRD pattern of TbDy8Ho2 was simulated for Cu Kα X-rays.
Kinematic intensities with the Lorentz-polarization factor, no thermal factor.

The 12 most intense peaks (2θ = 10–80°), in order of falling intensity:
d [Å]	I (rel.)
2.808	100
2.786	83
2.685	45
2.671	44
1.570	34
1.893	32
1.443	26
1.573	18
2.074	15
1.425	14
1.642	14
3.211	14

Cell and atoms:
```
11
Lattice="5.369 0.000 0.000 0.000 6.589 5.045 0.000 -6.589 5.045" Properties=species:S:1:pos:R:3 pbc="T T T"
Tb 0.000 0.000 0.000
Dy 0.000 -3.250 5.052
Dy 0.000 0.000 3.380
Dy 0.000 0.000 6.712
Dy 0.000 3.250 5.052
Dy 2.685 -1.775 1.666
Dy 2.685 1.775 1.666
Dy 2.685 -1.778 8.426
Dy 2.685 1.778 8.426
Ho 2.685 -1.579 5.047
Ho 2.685 1.579 5.047
```

***

Starting from a crystal structure in Alexandria, relaxed with GGA-PBE, the powder XRD pattern of CeNdY2Er was simulated for Cu Kα X-rays.
Kinematic intensities with the Lorentz-polarization factor, no thermal factor.

The 12 most intense peaks (2θ = 10–80°), in order of falling intensity:
d [Å]	I (rel.)
2.949	100
2.889	72
2.566	58
1.868	29
3.853	28
3.321	27
1.774	23
7.707	22
2.338	22
2.928	21
2.721	20
1.695	19

Cell and atoms:
```
10
Lattice="5.856 0.000 0.000 0.000 7.707 0.000 0.000 0.000 7.360" Properties=species:S:1:pos:R:3 pbc="T T T"
Ce 0.000 0.000 0.000
Ce 2.928 0.000 0.000
Nd 1.464 3.853 1.178
Nd 4.392 3.853 6.182
Y 1.464 2.219 4.953
Y 1.464 5.488 4.953
Y 4.392 2.219 2.407
Y 4.392 5.488 2.407
Er 1.464 0.000 2.802
Er 4.392 0.000 4.558
```

***

Starting from a crystal structure in Alexandria, relaxed with GGA-PBE, the powder XRD pattern of TcMoAu was simulated for Cu Kα X-rays.
Kinematic intensities with the Lorentz-polarization factor, no thermal factor.

The 12 most intense peaks (2θ = 10–80°), in order of falling intensity:
d [Å]	I (rel.)
2.316	100
1.996	33
1.205	25
1.422	20
2.025	16
2.749	12
1.218	11
1.411	11
6.076	9
3.038	7
1.479	5
1.668	5

Cell and atoms:
```
3
Lattice="-1.411 1.411 6.076 1.411 -1.411 6.076 1.411 1.411 -6.076" Properties=species:S:1:pos:R:3 pbc="T T T"
Tc 0.000 0.000 0.000
Mo 0.000 0.000 7.863
Au 0.000 0.000 3.943
```

***

Starting from a crystal structure in Alexandria, relaxed with GGA-PBE, the powder XRD pattern of CeZn2SiN4 was simulated for Cu Kα X-rays.
Kinematic intensities with the Lorentz-polarization factor, no thermal factor.

The 12 most intense peaks (2θ = 10–80°), in order of falling intensity:
d [Å]	I (rel.)
2.591	100
2.567	34
1.487	34
4.218	33
1.501	22
1.815	20
2.193	18
2.224	9
1.296	9
1.851	6
1.681	6
1.283	6

Cell and atoms:
```
8
Lattice="0.000 3.631 3.701 3.628 0.000 3.701 3.628 3.631 0.000" Properties=species:S:1:pos:R:3 pbc="T T T"
Ce 0.000 0.000 0.000
Zn 1.814 1.816 1.848
Zn 5.442 5.447 5.549
Si 3.628 3.631 3.697
N 5.121 3.631 2.765
N 3.628 2.138 4.627
N 2.135 3.631 2.765
N 3.628 5.125 4.627
```

***

Starting from a crystal structure in Alexandria, relaxed with GGA-PBE, the powder XRD pattern of KAc2Se6S2 was simulated for Cu Kα X-rays.
Kinematic intensities with the Lorentz-polarization factor, no thermal factor.

The 12 most intense peaks (2θ = 10–80°), in order of falling intensity:
d [Å]	I (rel.)
8.268	100
3.136	50
4.001	33
3.097	31
3.226	29
3.209	29
2.953	27
2.664	21
2.969	20
5.291	20
3.915	17
2.313	16

Cell and atoms:
```
11
Lattice="4.752 0.000 0.000 -0.358 8.685 0.000 -0.821 -2.847 8.858" Properties=species:S:1:pos:R:3 pbc="T T T"
K 0.000 0.000 0.000
Ac 0.665 4.067 2.897
Ac 2.909 1.771 5.961
Se -0.302 0.383 8.549
Se 0.457 -0.506 5.190
Se 0.534 3.715 5.957
Se 3.040 2.123 2.902
Se 3.117 6.344 3.668
Se 3.876 5.455 0.309
S 1.294 -0.665 7.252
S 2.280 6.502 1.607
```